# 1
Computed powder XRD pattern
Compound: LaBeAlPd6
Radiation: Cu Kα, 1.54184 Å
Structure: a structure optimized by DFT (PBE)
Lines closer than 0.1° are merged.

Structure:
a b c (Å): 7.812 7.812 7.812
angles (deg): 131.19 110.67 89.34
Sites, in units of the cell vectors:
La 0.440 0.190 0.250
La 0.560 0.810 0.750
Be 0.000 0.500 0.500
Be 0.500 0.500 0.000
Al 0.000 0.000 0.500
Al 0.000 0.500 0.000
Pd 0.118 0.369 0.235
Pd 0.118 0.882 0.749
Pd 0.174 0.924 0.250
Pd 0.292 0.542 0.750
Pd 0.366 0.118 0.735
Pd 0.366 0.631 0.249
Pd 0.634 0.369 0.751
Pd 0.634 0.882 0.265
Pd 0.708 0.458 0.250
Pd 0.826 0.076 0.750
Pd 0.882 0.118 0.251
Pd 0.882 0.631 0.765

Peak list (10 most intense, 10° ≤ 2θ ≤ 80°, low angle first)
2θ/deg	d_spacing	I (rel.)
27.77	3.213	12.9
32.23	2.778	14.5
34.34	2.612	100.0
36.64	2.453	32.9
38.21	2.355	30.7
40.61	2.222	36.6
42.96	2.106	18.3
47.00	1.933	16.1
47.80	1.903	26.1
57.06	1.614	13.4

# 2
Computed powder XRD pattern
Compound: ZnAg2Pd6
Radiation: Cu Kα, 1.54184 Å
Structure: a structure optimized by DFT (PBE)
Lines closer than 0.1° are merged.

Structure:
a b c (Å): 7.480 7.480 5.281
angles (deg): 94.81 94.81 96.95
Sites, in units of the cell vectors:
Zn 0.094 0.906 0.750
Zn 0.906 0.094 0.250
Ag 0.354 0.384 0.611
Ag 0.384 0.354 0.111
Ag 0.616 0.646 0.889
Ag 0.646 0.616 0.389
Pd 0.045 0.235 0.787
Pd 0.051 0.428 0.275
Pd 0.235 0.045 0.287
Pd 0.272 0.692 0.001
Pd 0.308 0.728 0.499
Pd 0.428 0.051 0.775
Pd 0.572 0.949 0.225
Pd 0.692 0.272 0.501
Pd 0.728 0.308 0.999
Pd 0.765 0.955 0.713
Pd 0.949 0.572 0.725
Pd 0.955 0.765 0.213

Peak list (10 most intense, 10° ≤ 2θ ≤ 80°, low angle first)
2θ/deg	d_spacing	I (rel.)
36.43	2.466	100.0
37.50	2.398	34.8
38.89	2.316	29.0
40.04	2.252	95.9
40.26	2.240	97.0
41.04	2.199	64.6
41.34	2.184	72.6
41.79	2.162	57.1
41.91	2.155	53.6
42.18	2.142	49.5

# 3
Computed powder XRD pattern
Compound: DyUPb2S6
Radiation: Cu Kα, 1.54184 Å
Structure: a structure optimized by DFT (PBE)
Lines closer than 0.1° are merged.

Structure:
a b c (Å): 7.382 7.382 7.382
angles (deg): 58.18 58.18 58.18
Sites, in units of the cell vectors:
Dy 0.000 0.000 0.000
U 0.497 0.497 0.497
Pb 0.292 0.292 0.292
Pb 0.795 0.795 0.795
S 0.147 0.720 0.360
S 0.235 0.641 0.843
S 0.360 0.147 0.720
S 0.641 0.843 0.235
S 0.720 0.360 0.147
S 0.843 0.235 0.641

Peak list (10 most intense, 10° ≤ 2θ ≤ 80°, low angle first)
2θ/deg	d_spacing	I (rel.)
17.24	5.144	29.1
24.13	3.688	87.3
24.81	3.589	100.0
34.88	2.572	48.4
38.71	2.326	59.7
43.27	2.091	43.6
43.68	2.072	37.8
50.88	1.795	18.0
52.02	1.758	18.8
64.48	1.445	18.6